No. 1
Calculated powder diffraction line list of Sm2Ho3Sc8 for Cu Kα (λ = 1.5418 Å), from a GGA-PBE-relaxed structure.
Kinematic intensities with the Lorentz-polarization factor, no thermal factor.

Most intense lines, 15° ≤ 2θ ≤ 90°, sorted by position:
2θ 21.09, intensity 61.1
2θ 28.75, intensity 100.0
2θ 32.92, intensity 77.2
2θ 33.53, intensity 97.3
2θ 35.93, intensity 37.4
2θ 54.06, intensity 48.9

Crystal structure
Unit cell a=11.8465 b=11.8465 c=11.8465 alpha=30.39 beta=30.39 gamma=30.39
Fractional coordinates of all 13 atoms:
Sm: 0.1405 0.1405 0.1405
Sm: 0.8595 0.8595 0.8595
Ho: 0.3157 0.3157 0.3157
Ho: 0.5000 0.5000 0.5000
Ho: 0.6843 0.6843 0.6843
Sc: 0.2292 0.2292 0.2292
Sc: 0.2307 0.2307 0.7260
Sc: 0.2307 0.7260 0.2307
Sc: 0.2740 0.7693 0.7693
Sc: 0.7260 0.2307 0.2307
Sc: 0.7693 0.2740 0.7693
Sc: 0.7693 0.7693 0.2740
Sc: 0.7708 0.7708 0.7708

No. 2
Calculated powder diffraction line list of Sm2HoTm2Sc for Cu Kα (λ = 1.5418 Å), from a GGA-PBE-relaxed structure.
Kinematic intensities with the Lorentz-polarization factor, no thermal factor.

Most intense lines, 15° ≤ 2θ ≤ 90°, sorted by position:
2θ 29.43, intensity 54.6
2θ 30.64, intensity 46.4
2θ 31.03, intensity 100.0
2θ 34.47, intensity 43.0
2θ 39.25, intensity 42.2
2θ 41.98, intensity 38.7

Crystal structure
Unit cell a=6.4709 b=17.5043 c=3.3143 alpha=90.00 beta=90.00 gamma=90.00
Fractional coordinates of all 12 atoms:
Sm: 0.2441 0.1836 0.0000
Sm: 0.2559 0.6836 0.5000
Sm: 0.7441 0.3164 0.5000
Sm: 0.7559 0.8164 0.0000
Ho: 0.0000 0.5000 0.0000
Ho: 0.5000 0.0000 0.5000
Tm: 0.2422 0.3559 0.5000
Tm: 0.2578 0.8559 0.0000
Tm: 0.7422 0.1441 0.0000
Tm: 0.7578 0.6441 0.5000
Sc: 0.0000 0.0000 0.0000
Sc: 0.5000 0.5000 0.5000